The following is a computed X-ray diffraction stick pattern of Mg4TlRh. It was derived from a cell relaxed with PBE, using Cu Kα (weighted mean of Kα1 and Kα2).
Peak positions follow from Bragg's law for the DFT cell and can differ from measured ones.

Most intense lines, 10 to 90 degrees two-theta, sorted by position:
18.15°, 4.887 Å, I = 68.0; 22.18°, 4.008 Å, I = 82.3; 23.27°, 3.823 Å, I = 79.4; 24.77°, 3.594 Å, I = 74.0; 36.54°, 2.459 Å, I = 56.6; 38.68°, 2.328 Å, I = 100.0

Crystal structure
```
Mg4TlRh
1.0
4.085 -6.108 0.000
4.085 6.108 0.000
-2.002 0.000 5.312
Mg Tl Rh
8 2 2
direct
0.065 0.723 0.942
0.190 0.352 0.639
0.277 0.935 0.558
0.352 0.190 0.139
0.648 0.810 0.861
0.723 0.065 0.442
0.810 0.648 0.361
0.935 0.277 0.058
0.378 0.622 0.250
0.622 0.378 0.750
0.002 0.998 0.750
0.998 0.002 0.250
```